[1]
This entry pairs a crystal structure of La2TmNi with its theoretical PXRD pattern. Radiation: copper Kα. Structure: a structure optimized by DFT (PBE).

Largest 8 diffraction maxima, low angle first, 10° ≤ 2θ ≤ 90°:
two_theta  I_rel
29.8  1000
30.3  518
30.6  304
30.9  482
31.9  615
32.5  355
34.0  534
54.1  372

Cell and atoms:
Lattice parameters (Å, degrees): 7.0278 10.1561 6.4141 90.00 90.00 90.00
Element x y z (fractional)
La1 0.1759 0.0683 0.1766
La2 0.1759 0.4317 0.1766
La3 0.3241 0.5683 0.6766
La4 0.3241 0.9317 0.6766
La5 0.6759 0.0683 0.3234
La6 0.6759 0.4317 0.3234
La7 0.8241 0.5683 0.8234
La8 0.8241 0.9317 0.8234
Tm1 0.0395 0.2500 0.6630
Tm2 0.4605 0.7500 0.1630
Tm3 0.5395 0.2500 0.8370
Tm4 0.9605 0.7500 0.3370
Ni1 0.1186 0.7500 0.9453
Ni2 0.3814 0.2500 0.4453
Ni3 0.6186 0.7500 0.5547
Ni4 0.8814 0.2500 0.0547

***

[2]
This entry pairs a crystal structure of NaSb with its theoretical PXRD pattern. Radiation: copper Kα. Structure: a structure optimized by DFT (PBE).

Largest 8 diffraction maxima, low angle first, 10° ≤ 2θ ≤ 90°:
two_theta  I_rel
15.9  410
19.0  620
21.1  1000
24.1  387
28.4  521
29.5  595
37.0  387
40.0  598

Cell and atoms:
Lattice parameters (Å, degrees): 6.8275 6.4091 12.5806 90.00 117.44 90.00
Element x y z (fractional)
Na1 0.2299 0.0994 0.3264
Na2 0.2299 0.4006 0.8264
Na3 0.2331 0.6629 0.5410
Na4 0.2331 0.8371 0.0410
Na5 0.7669 0.1629 0.9590
Na6 0.7669 0.3371 0.4590
Na7 0.7701 0.5994 0.1736
Na8 0.7701 0.9006 0.6736
Sb1 0.2897 0.1611 0.6039
Sb2 0.2897 0.3389 0.1039
Sb3 0.3071 0.5964 0.2972
Sb4 0.3071 0.9036 0.7972
Sb5 0.6929 0.0964 0.2028
Sb6 0.6929 0.4036 0.7028
Sb7 0.7103 0.6611 0.8961
Sb8 0.7103 0.8389 0.3961

***

[3]
This entry pairs a crystal structure of Na5B7C3 with its theoretical PXRD pattern. Radiation: copper Kα. Structure: a structure optimized by DFT (PBE).

Largest 8 diffraction maxima, low angle first, 10° ≤ 2θ ≤ 90°:
two_theta  I_rel
34.9  115
36.2  170
41.0  494
42.1  1000
42.2  378
63.5  171
77.1  126
79.2  164

Cell and atoms:
Lattice parameters (Å, degrees): 11.6149 11.6149 9.9881 106.94 106.94 14.00
Element x y z (fractional)
Na1 0.0000 0.0000 0.0000
Na2 0.1011 0.1011 0.6979
Na3 0.2009 0.2009 0.4010
Na4 0.3011 0.3011 0.1002
Na5 0.3997 0.3997 0.7973
Na6 0.5001 0.5001 0.4968
Na7 0.5998 0.5998 0.2047
Na8 0.7031 0.7031 0.8975
Na9 0.7999 0.7999 0.6002
Na10 0.8996 0.8996 0.2987
B1 0.0171 0.0171 0.2847
B2 0.0868 0.0868 0.4211
B3 0.1287 0.1287 0.0056
B4 0.2206 0.2206 0.6873
B5 0.2896 0.2896 0.8273
B6 0.3146 0.3146 0.3772
B7 0.4770 0.4770 0.2049
B8 0.5204 0.5204 0.7891
B9 0.5851 0.5851 0.9180
B10 0.6811 0.6811 0.6083
B11 0.7209 0.7209 0.1896
B12 0.8838 0.8838 0.0176
B13 0.9088 0.9088 0.5668
B14 0.9767 0.9767 0.7020
C1 0.1888 0.1888 0.1258
C2 0.3773 0.3773 0.5045
C3 0.4147 0.4147 0.0807
C4 0.6184 0.6184 0.4828
C5 0.7835 0.7835 0.3137
C6 0.8203 0.8203 0.8896

***

[4]
This entry pairs a crystal structure of Ce3SiPt5 with its theoretical PXRD pattern. Radiation: copper Kα. Structure: a structure optimized by DFT (PBE).

Largest 8 diffraction maxima, low angle first, 10° ≤ 2θ ≤ 90°:
two_theta  I_rel
33.8  205
34.2  1000
36.5  458
36.6  371
37.0  597
38.9  224
41.5  200
44.3  199

Cell and atoms:
Lattice parameters (Å, degrees): 8.3716 8.3716 8.3716 128.23 77.50 126.70
Element x y z (fractional)
Ce1 0.1186 0.8686 0.2500
Ce2 0.2706 0.2223 0.0483
Ce3 0.3260 0.7777 0.5483
Ce4 0.6740 0.2223 0.4517
Ce5 0.7294 0.7777 0.9517
Ce6 0.8814 0.1314 0.7500
Si1 0.2805 0.5305 0.7500
Si2 0.7195 0.4695 0.2500
Pt1 0.0426 0.2328 0.4005
Pt2 0.0426 0.6422 0.8098
Pt3 0.3323 0.2328 0.6902
Pt4 0.3323 0.6422 0.0995
Pt5 0.5000 0.0000 0.0000
Pt6 0.5000 0.5000 0.5000
Pt7 0.6677 0.3578 0.9005
Pt8 0.6677 0.7672 0.3098
Pt9 0.9574 0.3578 0.1902
Pt10 0.9574 0.7672 0.5995